This entry pairs a crystal structure of K3Rb8Pd with its computed powder X-ray diffraction pattern. Radiation: Cu Kα, 1.54184 Å. Structure: a DFT-relaxed cell (GGA-PBE, Alexandria).
Neutral-atom scattering factors, no anomalous dispersion.

Principal peaks in the range 10° ≤ 2θ ≤ 90°, sorted by position:
2θ/deg  d [Å]  intensity  hkl
11.3  7.799  36  1 0 1
12.3  7.220  30  1 1 0
22.8  3.899  100  2 0 2
23.1  3.846  56  3 0 1
24.7  3.610  60  2 2 0
27.2  3.276  23  3 1 1
32.5  2.757  22  3 2 1
37.4  2.404  42  3 3 0

Atomic structure:
```
K3Rb8Pd
1.0
14.440 0.000 0.000
-7.220 12.505 0.000
0.000 0.000 9.977
K Rb Pd
6 16 2
direct
0.152 0.304 0.000 K
0.152 0.848 0.000 K
0.304 0.152 0.500 K
0.696 0.848 0.000 K
0.848 0.152 0.500 K
0.848 0.696 0.500 K
0.000 0.000 0.248 Rb
0.000 0.000 0.748 Rb
0.064 0.532 0.755 Rb
0.219 0.438 0.463 Rb
0.219 0.781 0.463 Rb
0.333 0.667 0.036 Rb
0.438 0.219 0.963 Rb
0.468 0.532 0.755 Rb
0.468 0.936 0.755 Rb
0.532 0.064 0.255 Rb
0.532 0.468 0.255 Rb
0.562 0.781 0.463 Rb
0.667 0.333 0.536 Rb
0.781 0.219 0.963 Rb
0.781 0.562 0.963 Rb
0.936 0.468 0.255 Rb
0.333 0.667 0.671 Pd
0.667 0.333 0.171 Pd
```